1.
Diffraction record for Pm3Y4Te8. The powder diffraction line list is computed, not measured: it uses a crystal structure in Alexandria, relaxed with PBE and Cu Kα (λ = 1.5418 Å).

Cell and atoms:
abc: 8.7952 8.7952 8.7908
angles: 119.95 119.95 90.03
Fractional positions:
Pm  0.0000  0.0000  0.0000
Pm  0.0000  0.5000  0.0000
Pm  0.5000  0.0000  0.0000
Y  0.0000  0.5000  0.5000
Y  0.5000  0.0000  0.5000
Y  0.5000  0.5000  0.0000
Y  0.5000  0.5000  0.5000
Te  0.2466  0.7534  0.5000
Te  0.2491  0.2491  0.5054
Te  0.2495  0.2495  0.9936
Te  0.2527  0.7473  0.0000
Te  0.7473  0.2527  0.0000
Te  0.7505  0.7505  0.0064
Te  0.7509  0.7509  0.4946
Te  0.7534  0.2466  0.5000

Peak list (10 most intense, 2θ = 10–80°, in order of rising 2θ)
2θ (°)	I/Imax
14.23	5
20.19	4
28.70	100
41.04	75
50.85	27
59.43	12
67.31	31
67.38	3
74.75	21
74.83	4

---

2.
Diffraction record for Ac6ZnIn. The powder diffraction line list is computed, not measured: it uses a crystal structure in Alexandria, relaxed with PBE and Cu Kα (λ = 1.5418 Å).

Cell and atoms:
abc: 5.6880 5.6880 19.2241
angles: 90.00 90.00 90.00
Fractional positions:
Ac  0.0000  0.0000  0.2487
Ac  0.0000  0.0000  0.7513
Ac  0.0000  0.5000  0.1039
Ac  0.0000  0.5000  0.3961
Ac  0.0000  0.5000  0.6039
Ac  0.0000  0.5000  0.8961
Ac  0.5000  0.0000  0.1039
Ac  0.5000  0.0000  0.3961
Ac  0.5000  0.0000  0.6039
Ac  0.5000  0.0000  0.8961
Ac  0.5000  0.5000  0.2513
Ac  0.5000  0.5000  0.7487
Zn  0.0000  0.0000  0.5000
Zn  0.5000  0.5000  0.0000
In  0.0000  0.0000  0.0000
In  0.5000  0.5000  0.5000

Peak list (10 most intense, 2θ = 10–80°, in order of rising 2θ)
2θ (°)	I/Imax
23.98	19
27.85	11
28.95	100
31.46	48
42.50	15
45.08	18
49.67	13
52.78	13
54.47	35
71.88	10

---

3.
Diffraction record for Tm2Th2Rh15. The powder diffraction line list is computed, not measured: it uses a crystal structure in Alexandria, relaxed with PBE and Cu Kα (λ = 1.5418 Å).

Cell and atoms:
abc: 6.9417 6.9417 6.9417
angles: 81.75 81.75 81.75
Fractional positions:
Tm  0.1065  0.1065  0.1065
Tm  0.8935  0.8935  0.8935
Th  0.3570  0.3570  0.3570
Th  0.6430  0.6430  0.6430
Rh  0.0000  0.0000  0.5000
Rh  0.0000  0.3111  0.6889
Rh  0.0000  0.5000  0.0000
Rh  0.0000  0.6889  0.3111
Rh  0.1613  0.6518  0.6518
Rh  0.3111  0.0000  0.6889
Rh  0.3111  0.6889  0.0000
Rh  0.3482  0.3482  0.8387
Rh  0.3482  0.8387  0.3482
Rh  0.5000  0.0000  0.0000
Rh  0.6518  0.1613  0.6518
Rh  0.6518  0.6518  0.1613
Rh  0.6889  0.0000  0.3111
Rh  0.6889  0.3111  0.0000
Rh  0.8387  0.3482  0.3482

Peak list (10 most intense, 2θ = 10–80°, in order of rising 2θ)
2θ (°)	I/Imax
28.53	15
34.19	30
34.82	23
39.67	100
40.24	23
44.59	31
57.35	7
57.79	7
64.90	11
71.99	25

---

4.
Diffraction record for LaCeHo3. The powder diffraction line list is computed, not measured: it uses a crystal structure in Alexandria, relaxed with PBE and Cu Kα (λ = 1.5418 Å).

Cell and atoms:
abc: 6.1609 6.1609 10.8081
angles: 90.02 90.02 129.02
Fractional positions:
La  0.1570  0.8430  0.0000
La  0.8430  0.1570  0.0000
Ce  0.3786  0.6214  0.5000
Ce  0.6214  0.3786  0.5000
Ho  0.1514  0.8481  0.3157
Ho  0.1519  0.8486  0.6843
Ho  0.4997  0.4997  0.1771
Ho  0.5003  0.5003  0.8229
Ho  0.8481  0.1514  0.3157
Ho  0.8486  0.1519  0.6843

Peak list (10 most intense, 2θ = 10–80°, in order of rising 2θ)
2θ (°)	I/Imax
29.40	59
29.54	22
31.07	100
33.82	66
38.77	27
45.50	14
47.39	12
58.78	16
62.31	12
66.71	17

---

5.
Diffraction record for Tb7Y2Ho. The powder diffraction line list is computed, not measured: it uses a crystal structure in Alexandria, relaxed with PBE and Cu Kα (λ = 1.5418 Å).

Cell and atoms:
abc: 6.1629 6.1712 9.4074
angles: 102.60 109.03 99.56
Fractional positions:
Tb  0.0000  0.0000  0.0000
Tb  0.1994  0.0000  0.4000
Tb  0.1990  0.4990  0.8998
Tb  0.3996  0.5000  0.3007
Tb  0.6004  0.5000  0.6993
Tb  0.8006  0.0000  0.6000
Tb  0.8010  0.5010  0.1002
Y  0.4001  0.9998  0.7994
Y  0.5999  0.0002  0.2006
Ho  0.0000  0.5000  0.5000

Peak list (10 most intense, 2θ = 10–80°, in order of rising 2θ)
2θ (°)	I/Imax
30.76	100
35.67	50
51.30	24
51.38	12
61.02	28
61.09	14
63.98	3
64.08	6
64.15	3
75.52	4

---

6.
Diffraction record for HfB4Ru. The powder diffraction line list is computed, not measured: it uses a crystal structure in Alexandria, relaxed with PBE and Cu Kα (λ = 1.5418 Å).

Cell and atoms:
abc: 5.8399 5.8399 3.4344
angles: 90.00 90.00 103.47
Fractional positions:
Hf  0.2010  0.7990  0.0000
Hf  0.7990  0.2010  0.0000
B  0.1174  0.1174  0.5000
B  0.1169  0.4392  0.5000
B  0.4056  0.5944  0.5000
B  0.4392  0.1169  0.5000
B  0.5608  0.8831  0.5000
B  0.5944  0.4056  0.5000
B  0.8831  0.5608  0.5000
B  0.8826  0.8826  0.5000
Ru  0.3087  0.3087  0.0000
Ru  0.6913  0.6913  0.0000

Peak list (10 most intense, 2θ = 10–80°, in order of rising 2θ)
2θ (°)	I/Imax
25.94	96
31.51	86
31.78	54
38.61	22
41.25	100
41.47	66
47.11	30
53.35	21
63.29	24
70.04	27

---

7.
Diffraction record for BaGe4O9. The powder diffraction line list is computed, not measured: it uses a crystal structure in Alexandria, relaxed with PBE and Cu Kα (λ = 1.5418 Å).

Cell and atoms:
abc: 11.7937 11.7937 4.8203
angles: 90.00 90.00 120.00
Fractional positions:
Ba  0.0000  0.6682  0.0000
Ba  0.3318  0.3318  0.0000
Ba  0.6682  0.0000  0.0000
Ge  0.0000  0.0000  0.0000
Ge  0.0000  0.1793  0.5000
Ge  0.1500  0.4874  0.4114
Ge  0.1793  0.0000  0.5000
Ge  0.3333  0.6667  0.9028
Ge  0.3374  0.8500  0.4114
Ge  0.4874  0.1500  0.5886
Ge  0.5126  0.6626  0.4114
Ge  0.6626  0.5126  0.5886
Ge  0.6667  0.3333  0.0972
Ge  0.8207  0.8207  0.5000
Ge  0.8500  0.3374  0.5886
O  0.0000  0.4826  0.5000
O  0.0640  0.9115  0.7649
O  0.0885  0.1525  0.7649
O  0.1129  0.3252  0.3104
O  0.1525  0.0885  0.2351
O  0.1815  0.5938  0.1286
O  0.2123  0.8871  0.3104
O  0.2502  0.7371  0.6785
O  0.2629  0.5131  0.6785
O  0.3252  0.1129  0.6896
O  0.4062  0.5877  0.1286
O  0.4123  0.8185  0.1286
O  0.4826  0.0000  0.5000
O  0.4869  0.7498  0.6785
O  0.5131  0.2629  0.3215
O  0.5174  0.5174  0.5000
O  0.5877  0.4062  0.8714
O  0.5938  0.1815  0.8714
O  0.6748  0.7877  0.3104
O  0.7371  0.2502  0.3215
O  0.7498  0.4869  0.3215
O  0.7877  0.6748  0.6896
O  0.8185  0.4123  0.8714
O  0.8475  0.9360  0.7649
O  0.8871  0.2123  0.6896
O  0.9115  0.0640  0.2351
O  0.9360  0.8475  0.2351

Peak list (10 most intense, 2θ = 10–80°, in order of rising 2θ)
2θ (°)	I/Imax
23.84	100
29.65	21
30.31	67
32.19	88
44.80	23
48.80	25
50.12	29
53.86	23
72.56	18
76.64	17

---

8.
Diffraction record for Pm6Sn2Ir. The powder diffraction line list is computed, not measured: it uses a crystal structure in Alexandria, relaxed with PBE and Cu Kα (λ = 1.5418 Å).

Cell and atoms:
abc: 4.3359 8.3992 8.3992
angles: 119.97 90.00 90.00
Fractional positions:
Pm  0.0000  0.0000  0.0000
Pm  0.0000  0.5174  0.7581
Pm  0.0000  0.7581  0.5174
Pm  0.5000  0.1625  0.7583
Pm  0.5000  0.3536  0.3536
Pm  0.5000  0.7583  0.1625
Sn  0.0000  0.0915  0.4252
Sn  0.0000  0.4252  0.0915
Ir  0.5000  0.7595  0.7595

Peak list (10 most intense, 2θ = 10–80°, in order of rising 2θ)
2θ (°)	I/Imax
12.17	18
29.61	86
32.12	100
32.56	52
37.07	38
38.78	49
41.66	28
53.85	25
56.98	22
59.33	37

---

> What is the formula in the eighth record?

Pm6Sn2Ir